1.
This entry pairs a crystal structure of Ag3TeCl2F6 with its computed powder X-ray diffraction pattern. Radiation: copper Kα. Structure: a cell relaxed with PBE.
Kinematic intensities with the Lorentz-polarization factor, no thermal factor.

Top 10 peaks for 2θ = 10–80°, low angle first:
d [Å]	I (rel.)
4.921	48
3.965	100
3.796	44
3.504	67
3.149	80
2.999	36
2.600	55
1.982	46
1.947	45
1.899	51

Structural model:
```
data_Ag3TeCl2F6
_chemical_formula_sum 'Ag6 Te2 Cl4 F12'
_cell_length_a 14.087
_cell_length_b 7.050
_cell_length_c 4.946
_cell_angle_alpha 90.00
_cell_angle_beta 95.72
_cell_angle_gamma 90.00
_space_group_name_H-M_alt 'C 1 2/m 1'
_space_group_IT_number 12
loop_
_space_group_symop_operation_xyz
'x,y,z'
'-x,-y,-z'
'-x,y,-z'
'x,-y,z'
'x+1/2,y+1/2,z'
'-x+1/2,-y+1/2,-z'
'-x+1/2,y+1/2,-z'
'x+1/2,-y+1/2,z'
loop_
_atom_site_label
_atom_site_type_symbol
_atom_site_fract_x
_atom_site_fract_y
_atom_site_fract_z
Ag1 Ag 0.000 0.000 0.000
Ag2 Ag 0.250 0.250 0.500
Te1 Te 0.000 0.500 0.500
Cl1 Cl 0.177 0.000 0.199
F1 F 0.057 0.293 0.744
F2 F 0.120 0.500 0.311
```

---

2.
This entry pairs a crystal structure of NaCd2Sn4 with its computed powder X-ray diffraction pattern. Radiation: copper Kα. Structure: a cell relaxed with PBE.
Kinematic intensities with the Lorentz-polarization factor, no thermal factor.

Top 10 peaks for 2θ = 10–80°, low angle first:
d [Å]	I (rel.)
8.417	49
4.782	20
2.975	100
2.493	38
2.469	37
2.429	98
1.754	26
1.427	19
1.418	19
1.215	20

Structural model:
```
data_NaCd2Sn4
_chemical_formula_sum 'Na2 Cd4 Sn8'
_cell_length_a 4.987
_cell_length_b 16.833
_cell_length_c 4.938
_cell_angle_alpha 90.00
_cell_angle_beta 90.00
_cell_angle_gamma 90.00
_space_group_name_H-M_alt 'C m m m'
_space_group_IT_number 65
_space_group_name_Hall '-C 2 2'
loop_
_atom_site_label
_atom_site_type_symbol
_atom_site_fract_x
_atom_site_fract_y
_atom_site_fract_z
Na1 Na 0.000 0.000 0.000
Cd1 Cd 0.000 0.418 0.500
Sn1 Sn 0.000 0.185 0.500
Sn2 Sn 0.000 0.308 0.000
```

---

3.
This entry pairs a crystal structure of HoNp2Te5 with its computed powder X-ray diffraction pattern. Radiation: copper Kα. Structure: a cell relaxed with PBE.
Kinematic intensities with the Lorentz-polarization factor, no thermal factor.

Top 10 peaks for 2θ = 10–80°, low angle first:
d [Å]	I (rel.)
7.404	19
3.743	57
3.311	23
3.045	100
2.677	35
2.618	59
2.145	20
1.872	44
1.582	21
1.522	20

Structural model:
```
data_HoNp2Te5
_chemical_formula_sum 'Ho1 Np2 Te5'
_cell_length_a 7.404
_cell_length_b 7.404
_cell_length_c 5.354
_cell_angle_alpha 90.00
_cell_angle_beta 90.00
_cell_angle_gamma 90.00
_space_group_name_H-M_alt 'P 4/m m m'
_space_group_IT_number 123
_space_group_name_Hall '-P 4 2'
loop_
_atom_site_label
_atom_site_type_symbol
_atom_site_fract_x
_atom_site_fract_y
_atom_site_fract_z
Ho1 Ho 0.000 0.000 0.000
Np1 Np 0.000 0.500 0.500
Te1 Te 0.000 0.000 0.500
Te2 Te 0.281 0.281 0.000
```

---

Question: Which formula does entry 2 have?
Answer: NaCd2Sn4

---

Question: Which formula does entry 3 have?
Answer: HoNp2Te5